[1]
Computed powder X-ray diffraction pattern
Compound: Ca3Tl3Pd2
Radiation: Cu Kα (weighted mean of Kα1 and Kα2)
Structure: a structure optimized by DFT (PBE)

Atomic structure:
Unit cell a=8.114 b=17.317 c=5.933 alpha=90.00 beta=90.00 gamma=90.00
Fractional positions:
Ca  0.039  0.109  0.112
Ca  0.039  0.391  0.112
Ca  0.165  0.250  0.656
Ca  0.335  0.750  0.156
Ca  0.461  0.609  0.612
Ca  0.461  0.891  0.612
Ca  0.539  0.109  0.388
Ca  0.539  0.391  0.388
Ca  0.665  0.250  0.844
Ca  0.835  0.750  0.344
Ca  0.961  0.609  0.888
Ca  0.961  0.891  0.888
Tl  0.169  0.750  0.664
Tl  0.185  0.037  0.603
Tl  0.185  0.463  0.603
Tl  0.315  0.537  0.103
Tl  0.315  0.963  0.103
Tl  0.331  0.250  0.164
Tl  0.669  0.750  0.836
Tl  0.685  0.037  0.897
Tl  0.685  0.463  0.897
Tl  0.815  0.537  0.397
Tl  0.815  0.963  0.397
Tl  0.831  0.250  0.336
Pd  0.110  0.620  0.396
Pd  0.110  0.880  0.396
Pd  0.390  0.120  0.896
Pd  0.390  0.380  0.896
Pd  0.610  0.620  0.104
Pd  0.610  0.880  0.104
Pd  0.890  0.120  0.604
Pd  0.890  0.380  0.604

Top 8 peaks for 2θ = 5–70°, most intense first:
2θ 33.8, d 2.649, I 100
2θ 38.4, d 2.343, I 92
2θ 21.5, d 4.137, I 89
2θ 18.5, d 4.789, I 71
2θ 41.1, d 2.198, I 64
2θ 36.5, d 2.461, I 62
2θ 35.8, d 2.509, I 55
2θ 30.2, d 2.960, I 54

---

[2]
Computed powder X-ray diffraction pattern
Compound: CaTl3Pd3
Radiation: Cu Kα (weighted mean of Kα1 and Kα2)
Structure: a structure optimized by DFT (PBE)

Atomic structure:
Unit cell a=7.357 b=7.357 c=7.357 alpha=69.86 beta=69.86 gamma=69.86
Fractional positions:
Ca  0.169  0.169  0.169
Ca  0.831  0.831  0.831
Tl  0.078  0.374  0.700
Tl  0.300  0.922  0.626
Tl  0.374  0.700  0.078
Tl  0.626  0.300  0.922
Tl  0.700  0.078  0.374
Tl  0.922  0.626  0.300
Pd  0.125  0.771  0.454
Pd  0.229  0.546  0.875
Pd  0.454  0.125  0.771
Pd  0.546  0.875  0.229
Pd  0.771  0.454  0.125
Pd  0.875  0.229  0.546

Top 8 peaks for 2θ = 5–70°, most intense first:
2θ 39.0, d 2.308, I 100
2θ 37.0, d 2.432, I 84
2θ 21.1, d 4.213, I 69
2θ 68.0, d 1.379, I 35
2θ 54.8, d 1.674, I 34
2θ 26.6, d 3.348, I 24
2θ 66.6, d 1.404, I 12
2θ 42.9, d 2.106, I 10

---

[3]
Computed powder X-ray diffraction pattern
Compound: CaTl3Pd3
Radiation: Cu Kα (weighted mean of Kα1 and Kα2)
Structure: a structure optimized by DFT (PBE)

Atomic structure:
Unit cell a=9.324 b=9.324 c=4.474 alpha=90.00 beta=90.00 gamma=120.00
Fractional positions:
Ca  0.333  0.667  0.250
Ca  0.667  0.333  0.750
Tl  0.055  0.294  0.750
Tl  0.239  0.945  0.750
Tl  0.294  0.239  0.250
Tl  0.706  0.761  0.750
Tl  0.761  0.055  0.250
Tl  0.945  0.706  0.250
Pd  0.050  0.601  0.750
Pd  0.399  0.448  0.750
Pd  0.448  0.050  0.250
Pd  0.552  0.950  0.750
Pd  0.601  0.552  0.250
Pd  0.950  0.399  0.250

Top 8 peaks for 2θ = 5–70°, most intense first:
2θ 35.6, d 2.521, I 100
2θ 40.3, d 2.238, I 67
2θ 19.0, d 4.662, I 57
2θ 29.8, d 2.998, I 46
2θ 45.3, d 2.003, I 37
2θ 58.3, d 1.583, I 25
2θ 27.6, d 3.228, I 22
2θ 44.9, d 2.017, I 18

---

[4]
Computed powder X-ray diffraction pattern
Compound: CaTl2Pd5
Radiation: Cu Kα (weighted mean of Kα1 and Kα2)
Structure: a structure optimized by DFT (PBE)

Atomic structure:
Unit cell a=7.080 b=7.076 c=4.922 alpha=69.69 beta=69.62 gamma=40.69
Fractional positions:
Ca  0.000  0.000  0.000
Tl  0.264  0.264  0.736
Tl  0.736  0.736  0.264
Pd  0.127  0.127  0.373
Pd  0.373  0.373  0.127
Pd  0.500  0.500  0.500
Pd  0.627  0.627  0.873
Pd  0.873  0.873  0.627

Top 8 peaks for 2θ = 5–70°, most intense first:
2θ 39.0, d 2.307, I 100
2θ 36.5, d 2.461, I 63
2θ 67.4, d 1.389, I 39
2θ 14.4, d 6.163, I 19
2θ 29.5, d 3.030, I 12
2θ 52.5, d 1.742, I 11
2θ 52.7, d 1.738, I 11
2θ 39.4, d 2.285, I 7

---

[5]
Computed powder X-ray diffraction pattern
Compound: CaTmPd2
Radiation: Cu Kα (weighted mean of Kα1 and Kα2)
Structure: a structure optimized by DFT (PBE)

Atomic structure:
Unit cell a=4.924 b=4.924 c=4.924 alpha=60.00 beta=60.00 gamma=60.00
Fractional positions:
Ca  0.000  0.000  0.000
Tm  0.500  0.500  0.500
Pd  0.250  0.250  0.250
Pd  0.750  0.750  0.750

Top 6 peaks for 2θ = 5–70°, most intense first:
2θ 36.5, d 2.462, I 100
2θ 65.7, d 1.422, I 35
2θ 22.1, d 4.021, I 20
2θ 52.6, d 1.741, I 17
2θ 43.1, d 2.100, I 11
2θ 57.7, d 1.598, I 5

---

[6]
Computed powder X-ray diffraction pattern
Compound: CaTm3Pd4
Radiation: Cu Kα (weighted mean of Kα1 and Kα2)
Structure: a structure optimized by DFT (PBE)

Atomic structure:
Unit cell a=8.522 b=8.522 c=8.522 alpha=33.49 beta=33.49 gamma=33.49
Fractional positions:
Ca  0.000  0.000  0.000
Tm  0.251  0.251  0.251
Tm  0.500  0.500  0.500
Tm  0.749  0.749  0.749
Pd  0.130  0.130  0.130
Pd  0.380  0.380  0.380
Pd  0.620  0.620  0.620
Pd  0.870  0.870  0.870

Top 8 peaks for 2θ = 5–70°, most intense first:
2θ 36.6, d 2.457, I 100
2θ 65.9, d 1.418, I 26
2θ 52.7, d 1.737, I 17
2θ 65.7, d 1.420, I 8
2θ 11.0, d 8.037, I 6
2θ 22.2, d 4.012, I 4
2θ 21.2, d 4.187, I 4
2θ 50.4, d 1.810, I 2

---

[7]
Computed powder X-ray diffraction pattern
Compound: CaVPd
Radiation: Cu Kα (weighted mean of Kα1 and Kα2)
Structure: a structure optimized by DFT (PBE)

Atomic structure:
Unit cell a=5.702 b=5.702 c=5.702 alpha=133.73 beta=102.27 gamma=95.52
Fractional positions:
Ca  0.000  0.000  0.000
Ca  0.660  0.160  0.500
V  0.115  0.751  0.365
V  0.386  0.751  0.635
Pd  0.246  0.432  0.814
Pd  0.618  0.432  0.186

Top 8 peaks for 2θ = 5–70°, most intense first:
2θ 33.2, d 2.698, I 100
2θ 34.1, d 2.627, I 86
2θ 40.6, d 2.220, I 66
2θ 39.6, d 2.278, I 58
2θ 40.3, d 2.240, I 53
2θ 23.0, d 3.869, I 52
2θ 16.9, d 5.231, I 47
2θ 57.7, d 1.597, I 36

---

[8]
Computed powder X-ray diffraction pattern
Compound: CaVPd6
Radiation: Cu Kα (weighted mean of Kα1 and Kα2)
Structure: a structure optimized by DFT (PBE)

Atomic structure:
Unit cell a=4.004 b=4.004 c=8.007 alpha=90.00 beta=90.00 gamma=90.00
Fractional positions:
Ca  0.000  0.000  0.000
V  0.000  0.000  0.500
Pd  0.000  0.500  0.273
Pd  0.000  0.500  0.727
Pd  0.500  0.000  0.273
Pd  0.500  0.000  0.727
Pd  0.500  0.500  0.000
Pd  0.500  0.500  0.500

Top 8 peaks for 2θ = 5–70°, most intense first:
2θ 39.0, d 2.312, I 100
2θ 45.3, d 2.002, I 48
2θ 66.0, d 1.416, I 28
2θ 22.2, d 4.004, I 9
2θ 31.6, d 2.831, I 8
2θ 11.0, d 8.007, I 5
2θ 46.8, d 1.942, I 4
2θ 51.0, d 1.791, I 4

---

[9]
Computed powder X-ray diffraction pattern
Compound: CaY2ZnPd4
Radiation: Cu Kα (weighted mean of Kα1 and Kα2)
Structure: a structure optimized by DFT (PBE)

Atomic structure:
Unit cell a=8.425 b=8.425 c=8.425 alpha=33.35 beta=33.35 gamma=33.35
Fractional positions:
Ca  0.000  0.000  0.000
Y  0.244  0.244  0.244
Y  0.756  0.756  0.756
Zn  0.500  0.500  0.500
Pd  0.125  0.125  0.125
Pd  0.384  0.384  0.384
Pd  0.616  0.616  0.616
Pd  0.875  0.875  0.875

Top 8 peaks for 2θ = 5–70°, most intense first:
2θ 37.2, d 2.417, I 100
2θ 37.0, d 2.428, I 93
2θ 53.5, d 1.713, I 31
2θ 66.9, d 1.398, I 31
2θ 67.1, d 1.396, I 17
2θ 66.6, d 1.404, I 12
2θ 26.0, d 3.426, I 9
2θ 11.1, d 7.949, I 7

---

[10]
Computed powder X-ray diffraction pattern
Compound: Ca3Zn3Pd2
Radiation: Cu Kα (weighted mean of Kα1 and Kα2)
Structure: a structure optimized by DFT (PBE)

Atomic structure:
Unit cell a=5.728 b=5.728 c=15.117 alpha=90.00 beta=90.00 gamma=134.43
Fractional positions:
Ca  0.086  0.914  0.605
Ca  0.086  0.914  0.895
Ca  0.371  0.629  0.750
Ca  0.629  0.371  0.250
Ca  0.914  0.086  0.105
Ca  0.914  0.086  0.395
Zn  0.330  0.670  0.250
Zn  0.376  0.624  0.535
Zn  0.376  0.624  0.965
Zn  0.624  0.376  0.035
Zn  0.624  0.376  0.465
Zn  0.670  0.330  0.750
Pd  0.209  0.791  0.102
Pd  0.209  0.791  0.398
Pd  0.791  0.209  0.602
Pd  0.791  0.209  0.898

Top 8 peaks for 2θ = 5–70°, most intense first:
2θ 32.2, d 2.776, I 100
2θ 40.5, d 2.228, I 81
2θ 37.2, d 2.419, I 76
2θ 16.8, d 5.281, I 75
2θ 40.7, d 2.219, I 71
2θ 33.0, d 2.713, I 65
2θ 47.6, d 1.910, I 51
2θ 22.5, d 3.949, I 51

---

[11]
Computed powder X-ray diffraction pattern
Compound: Ca2ZnPd3
Radiation: Cu Kα (weighted mean of Kα1 and Kα2)
Structure: a structure optimized by DFT (PBE)

Atomic structure:
Unit cell a=5.289 b=5.289 c=5.289 alpha=64.53 beta=64.53 gamma=64.53
Fractional positions:
Ca  0.127  0.127  0.127
Ca  0.873  0.873  0.873
Zn  0.500  0.500  0.500
Pd  0.000  0.500  0.500
Pd  0.500  0.000  0.500
Pd  0.500  0.500  0.000

Top 8 peaks for 2θ = 5–70°, most intense first:
2θ 39.6, d 2.277, I 100
2θ 38.5, d 2.337, I 81
2θ 37.5, d 2.399, I 73
2θ 19.5, d 4.553, I 57
2θ 21.3, d 4.164, I 39
2θ 47.2, d 1.925, I 38
2θ 40.5, d 2.225, I 33
2θ 66.2, d 1.412, I 31

---

[12]
Computed powder X-ray diffraction pattern
Compound: Ca3Zn3Pd
Radiation: Cu Kα (weighted mean of Kα1 and Kα2)
Structure: a structure optimized by DFT (PBE)

Atomic structure:
Unit cell a=5.868 b=5.868 c=15.126 alpha=106.54 beta=106.54 gamma=42.81
Fractional positions:
Ca  0.029  0.029  0.387
Ca  0.111  0.111  0.921
Ca  0.250  0.250  0.239
Ca  0.750  0.750  0.761
Ca  0.889  0.889  0.079
Ca  0.971  0.971  0.613
Zn  0.354  0.354  0.464
Zn  0.402  0.402  0.923
Zn  0.457  0.457  0.767
Zn  0.543  0.543  0.233
Zn  0.598  0.598  0.077
Zn  0.646  0.646  0.536
Pd  0.265  0.265  0.613
Pd  0.735  0.735  0.387

Top 8 peaks for 2θ = 5–70°, most intense first:
2θ 6.1, d 14.402, I 100
2θ 38.3, d 2.348, I 71
2θ 16.3, d 5.454, I 56
2θ 42.2, d 2.142, I 47
2θ 30.9, d 2.894, I 44
2θ 31.6, d 2.833, I 36
2θ 38.9, d 2.314, I 35
2θ 32.3, d 2.771, I 27

---

[13]
Computed powder X-ray diffraction pattern
Compound: CaZn2Pd2
Radiation: Cu Kα (weighted mean of Kα1 and Kα2)
Structure: a structure optimized by DFT (PBE)

Atomic structure:
Unit cell a=7.586 b=7.586 c=2.980 alpha=90.00 beta=90.00 gamma=90.00
Fractional positions:
Ca  0.000  0.000  0.000
Ca  0.500  0.500  0.000
Zn  0.119  0.381  0.000
Zn  0.381  0.881  0.000
Zn  0.619  0.119  0.000
Zn  0.881  0.619  0.000
Pd  0.177  0.677  0.500
Pd  0.323  0.177  0.500
Pd  0.677  0.823  0.500
Pd  0.823  0.323  0.500

Top 8 peaks for 2θ = 5–70°, most intense first:
2θ 40.3, d 2.239, I 100
2θ 37.5, d 2.399, I 40
2θ 38.4, d 2.343, I 30
2θ 16.5, d 5.364, I 21
2θ 49.5, d 1.840, I 17
2θ 59.0, d 1.566, I 15
2θ 43.0, d 2.104, I 13
2θ 23.5, d 3.793, I 10